Record 1
Diffraction record for KRbNd2Sb2. The XRD peak list is theoretical, not measured: it uses a structure optimized by DFT (PBE) and Cu Kα (λ = 1.5418 Å).
Kinematic intensities with the Lorentz-polarization factor, no thermal factor.

Largest 12 diffraction maxima, sorted by position, 10° ≤ 2θ ≤ 90°:
| d_spacing | 2theta | Rel. int. | index |
| --- | --- | --- | --- |
| 8.617 | 10.3 | 1000 | 0 0 1 |
| 4.569 | 19.4 | 252 | 1 0 1 |
| 3.485 | 25.6 | 619 | 1 1 1 |
| 3.365 | 26.5 | 447 | 1 0 2 |
| 2.854 | 31.3 | 968 | 1 1 2 |
| 2.694 | 33.3 | 732 | 2 0 0 |
| 2.571 | 34.9 | 229 | 2 0 1 |
| 2.294 | 39.3 | 322 | 1 1 3 |
| 2.103 | 43.0 | 234 | 2 1 2 |
| 1.905 | 47.7 | 261 | 2 2 0 |
| 1.584 | 58.2 | 328 | 3 1 2 |
| 1.452 | 64.1 | 182 | 2 0 5 |

Atomic structure:
a b c (Å): 5.388 5.388 8.617
angles (deg): 90.00 90.00 90.00
Fractional coordinates of all 6 atoms:
K 0.000 0.000 0.000
Rb 0.500 0.500 0.740
Nd 0.000 0.500 0.368
Nd 0.500 0.000 0.368
Sb 0.000 0.000 0.571
Sb 0.500 0.500 0.170


Record 2
Diffraction record for KNdReS4. The XRD peak list is theoretical, not measured: it uses a structure optimized by DFT (PBE) and Cu Kα (λ = 1.5418 Å).
Kinematic intensities with the Lorentz-polarization factor, no thermal factor.

Largest 12 diffraction maxima, sorted by position, 10° ≤ 2θ ≤ 90°:
| d_spacing | 2theta | Rel. int. | index |
| --- | --- | --- | --- |
| 8.298 | 10.7 | 1000 | 0 0 1 |
| 6.023 | 14.7 | 141 | 1 0 -1 |
| 5.171 | 17.1 | 589 | 0 1 1 |
| 3.514 | 25.3 | 280 | 0 1 2 |
| 3.495 | 25.5 | 195 | 1 1 -2 |
| 3.307 | 27.0 | 313 | 0 2 0 |
| 2.963 | 30.2 | 185 | 2 1 -1 |
| 2.768 | 32.3 | 282 | 1 1 2 |
| 2.740 | 32.7 | 320 | 2 1 -2 |
| 2.280 | 39.5 | 313 | 2 2 0 |
| 2.082 | 43.5 | 193 | 2 1 2 |
| 1.945 | 46.7 | 145 | 0 3 2 |

Atomic structure:
a b c (Å): 6.644 6.612 8.751
angles (deg): 90.00 108.52 90.00
Fractional coordinates of all 14 atoms:
K 0.249 0.000 0.444
K 0.751 0.500 0.556
Nd 0.275 0.992 0.954
Nd 0.725 0.492 0.046
Re 0.242 0.485 0.162
Re 0.758 0.985 0.838
S 0.048 0.612 0.915
S 0.078 0.533 0.346
S 0.497 0.735 0.219
S 0.497 0.747 0.786
S 0.503 0.235 0.781
S 0.503 0.247 0.214
S 0.922 0.033 0.654
S 0.952 0.112 0.085